Entry 1:
# NiSn2Au
Calculated PXRD pattern, Cu Kα, 1.54184 Å. Input: the PBE geometry in the Materials Project.

Structure:
Lattice parameters (Å, degrees): 3.6043 3.6043 7.3680 90.00 90.00 120.00
Space group P-6m2 (No. 187)
Asymmetric unit:
Ni  0.0000  0.0000  0.0000
Sn  0.3333  0.6667  0.2216
Au  0.6667  0.3333  0.5000

Most intense lines, 2θ from 15° to 90°, by angle:
hkl, 2θ (°), I_rel
1 0 0, 28.60, 18
1 0 1, 31.12, 75
1 0 2, 37.78, 100
1 0 3, 47.08, 21
1 1 0, 50.65, 39
2 0 1, 60.65, 11
2 0 2, 64.89, 21
1 0 5, 70.69, 14
1 1 4, 73.52, 20
2 1 2, 86.65, 21

---

Entry 2:
# TbNi4Au
Calculated PXRD pattern, Cu Kα, 1.54184 Å. Input: the PBE geometry in the Materials Project.

Structure:
Lattice parameters (Å, degrees): 6.990 6.990 6.990 90.00 90.00 90.00
Space group F-43m (No. 216)
Asymmetric unit:
Tb  0.000  0.000  0.000
Ni  0.125  0.125  0.625
Au  0.250  0.250  0.250

Most intense lines, 2θ from 15° to 90°, by angle:
hkl, 2θ (°), I_rel
1 1 1, 22.02, 19
2 2 0, 36.35, 69
3 1 1, 42.91, 100
2 2 2, 44.92, 14
3 3 1, 57.46, 5
4 2 2, 65.40, 25
5 1 1, 69.93, 30
4 4 0, 77.20, 22
5 3 1, 81.45, 4
6 2 0, 88.45, 12

---

Entry 3:
# NpAu3
Calculated PXRD pattern, Cu Kα, 1.54184 Å. Input: the PBE geometry in the Materials Project.

Structure:
Lattice parameters (Å, degrees): 6.980 6.980 6.980 90.00 90.00 90.00
Space group Fm-3m (No. 225)
Asymmetric unit:
Np  0.000  0.000  0.000
Au  0.000  0.000  0.500
Au  0.250  0.250  0.250

Most intense lines, 2θ from 15° to 90°, by angle:
hkl, 2θ (°), I_rel
2 2 0, 36.41, 100
4 0 0, 52.44, 18
4 2 2, 65.51, 37
4 4 0, 77.33, 12
6 2 0, 88.62, 18

---

Entry 4:
# Au3O
Calculated PXRD pattern, Cu Kα, 1.54184 Å. Input: the PBE geometry in the Materials Project.

Structure:
Lattice parameters (Å, degrees): 7.4582 7.4582 2.9351 90.00 90.00 120.00
Space group P6_3/mmc (No. 194)
Asymmetric unit:
Au  0.1867  0.3733  0.2500
O  0.3333  0.6667  0.7500

Most intense lines, 2θ from 15° to 90°, by angle:
hkl, 2θ (°), I_rel
1 1 0, 23.86, 20
2 0 0, 27.62, 50
1 0 1, 33.54, 32
2 1 0, 36.82, 34
2 0 1, 41.58, 100
2 2 0, 48.84, 32
3 0 1, 52.73, 16
4 0 1, 66.04, 18
3 2 1, 71.30, 21
2 2 2, 83.90, 14

---

Entry 5:
# PAuO4
Calculated PXRD pattern, Cu Kα, 1.54184 Å. Input: the PBE geometry in the Materials Project.

Structure:
Lattice parameters (Å, degrees): 7.757 6.133 7.778 90.00 99.00 90.00
Space group C2/c (No. 15)
Asymmetric unit:
P  0.000  0.073  0.250
Au  0.250  0.250  0.000
O  0.020  0.217  0.089
O  0.172  0.061  0.790

Most intense lines, 2θ from 15° to 90°, by angle:
hkl, 2θ (°), I_rel
1 1 -1, 20.88, 72
1 1 1, 22.82, 100
2 0 0, 23.19, 40
0 2 0, 29.12, 18
2 0 -2, 30.26, 19
0 2 2, 37.54, 49
3 1 -1, 38.28, 26
1 1 3, 41.61, 27
2 2 -4, 58.65, 15
1 3 3, 60.35, 19

---

Entry 6:
# PAuO4
Calculated PXRD pattern, Cu Kα, 1.54184 Å. Input: the PBE geometry in the Materials Project.

Structure:
Lattice parameters (Å, degrees): 8.025 5.735 7.919 90.00 96.93 90.00
Space group C2/c (No. 15)
Asymmetric unit:
P  0.000  0.074  0.250
Au  0.250  0.250  0.000
O  0.027  0.229  0.094
O  0.164  0.071  0.788

Most intense lines, 2θ from 15° to 90°, by angle:
hkl, 2θ (°), I_rel
1 1 -1, 21.49, 68
2 0 0, 22.32, 21
0 0 2, 22.62, 20
1 1 1, 22.88, 100
2 0 -2, 29.95, 20
0 2 0, 31.19, 16
3 1 -1, 37.83, 27
2 2 0, 38.69, 15
0 2 2, 38.88, 29
1 1 3, 40.69, 19

---

Entry 7:
# PbAuO3
Calculated PXRD pattern, Cu Kα, 1.54184 Å. Input: the PBE geometry in the Materials Project.

Structure:
Lattice parameters (Å, degrees): 4.149 4.149 4.149 90.00 90.00 90.00
Space group Pm-3m (No. 221)
Asymmetric unit:
Pb  0.000  0.000  0.000
Au  0.500  0.500  0.500
O  0.000  0.500  0.500

Most intense lines, 2θ from 15° to 90°, by angle:
hkl, 2θ (°), I_rel
1 1 0, 30.47, 100
1 1 1, 37.55, 1
2 0 0, 43.63, 26
2 1 1, 54.15, 42
2 2 0, 63.41, 17
3 1 0, 71.97, 19
2 2 2, 80.14, 6
3 2 1, 88.10, 23